(1)
Structure and calculated X-ray diffraction stick pattern of TlMoBr (a crystal structure in Alexandria, relaxed with PBE; Cu Ka).
No peak broadening, texture or thermal motion is included.

Most intense lines, 2θ = 5–70°, sorted by position:
2theta, I_rel
11.80, 41
23.73, 31
29.23, 30
33.86, 100
40.90, 43
41.77, 34
47.83, 19
59.23, 14
63.26, 12
65.31, 13

Crystal structure
Lattice parameters (Å, degrees): 7.817 7.817 7.817 156.98 156.98 32.79
Positions (direct):
1 Tl 0.000 0.000 0.000
2 Mo 0.343 0.343 0.000
3 Br 0.748 0.748 0.000

(2)
Structure and calculated X-ray diffraction stick pattern of Ti6Pt8Rh (a crystal structure in Alexandria, relaxed with PBE; Cu Ka).
No peak broadening, texture or thermal motion is included.

Most intense lines, 2θ = 5–70°, sorted by position:
2theta, I_rel
17.65, 11
29.36, 100
35.73, 10
39.41, 11
40.81, 76
43.17, 76
43.82, 7
53.07, 21
55.55, 11
60.91, 20

Crystal structure
Lattice parameters (Å, degrees): 6.975 6.975 6.975 62.71 62.71 62.71
Positions (direct):
1 Ti 0.117 0.393 0.822
2 Ti 0.178 0.883 0.607
3 Ti 0.393 0.822 0.117
4 Ti 0.607 0.178 0.883
5 Ti 0.822 0.117 0.393
6 Ti 0.883 0.607 0.178
7 Pt 0.061 0.695 0.388
8 Pt 0.209 0.209 0.209
9 Pt 0.305 0.612 0.939
10 Pt 0.388 0.061 0.695
11 Pt 0.612 0.939 0.305
12 Pt 0.695 0.388 0.061
13 Pt 0.791 0.791 0.791
14 Pt 0.939 0.305 0.612
15 Rh 0.500 0.500 0.500

(3)
Structure and calculated X-ray diffraction stick pattern of Cd5HgSb (a crystal structure in Alexandria, relaxed with PBE; Cu Ka).
No peak broadening, texture or thermal motion is included.

Most intense lines, 2θ = 5–70°, sorted by position:
2theta, I_rel
24.77, 53
30.66, 25
30.89, 72
31.98, 42
32.58, 100
34.69, 91
36.82, 45
44.89, 41
45.34, 26
50.34, 30

Crystal structure
Lattice parameters (Å, degrees): 6.428 6.428 6.428 126.05 112.01 92.11
Positions (direct):
1 Cd 0.000 0.000 0.000
2 Cd 0.230 0.536 0.695
3 Cd 0.713 0.456 0.742
4 Cd 0.713 0.971 0.258
5 Cd 0.841 0.536 0.305
6 Hg 0.372 0.872 0.500
7 Sb 0.321 0.321 0.000